LuCuB5O10: theoretical X-ray diffraction stick pattern (CuKα), based on DFT lattice parameters and positions (PBE).

Most intense lines, 10° ≤ 2θ ≤ 90°, low angle first:
d/Å  two_theta  intensity
6.320  14.0  21
5.061  17.5  100
4.276  20.8  38
3.542  25.1  21
3.140  28.4  27
2.680  33.4  36
2.596  34.6  21
2.541  35.3  35
2.531  35.5  20
2.033  44.6  22
2.006  45.2  34
1.975  45.9  28

Cell and atoms:
Lattice parameters (Å, degrees): 8.251 8.251 8.251 135.27 117.57 80.02
Atoms (fractional coordinates):
Lu 0.250 0.250 0.000
Lu 0.750 0.750 0.000
Cu 0.000 0.000 0.000
Cu 0.500 0.500 0.000
B 0.093 0.517 0.809
B 0.207 0.017 0.424
B 0.250 0.750 0.500
B 0.293 0.716 0.809
B 0.407 0.216 0.424
B 0.593 0.784 0.576
B 0.707 0.284 0.191
B 0.750 0.250 0.500
B 0.793 0.983 0.576
B 0.907 0.483 0.191
O 0.042 0.948 0.217
O 0.092 0.536 0.255
O 0.128 0.648 0.775
O 0.219 0.964 0.556
O 0.231 0.448 0.906
O 0.269 0.176 0.217
O 0.281 0.837 0.745
O 0.372 0.148 0.520
O 0.408 0.663 0.444
O 0.458 0.676 0.906
O 0.542 0.324 0.094
O 0.592 0.337 0.556
O 0.628 0.852 0.480
O 0.719 0.163 0.255
O 0.731 0.824 0.783
O 0.769 0.552 0.094
O 0.781 0.036 0.444
O 0.872 0.352 0.225
O 0.908 0.464 0.745
O 0.958 0.052 0.783